No. 1
Structure and theoretical powder diffraction line list of HgC8N2Cl4 (a cell relaxed with GGA-PBE; λ = 1.5418 Å (Cu Kα)).
Kinematic intensities with the Lorentz-polarization factor, no thermal factor.

The 12 most intense peaks (5 to 70 degrees two-theta), by intensity:
13.47 deg, intensity 100, hkl 1 1 1
14.50 deg, intensity 69, hkl 0 2 1
21.60 deg, intensity 66, hkl 1 3 0
30.80 deg, intensity 48, hkl 2 3 -2
24.63 deg, intensity 44, hkl 2 1 -2
25.77 deg, intensity 42, hkl 0 4 0
17.93 deg, intensity 40, hkl 1 1 2
16.68 deg, intensity 39, hkl 1 0 -2
11.62 deg, intensity 39, hkl 1 1 0
19.46 deg, intensity 26, hkl 2 0 0
26.09 deg, intensity 22, hkl 1 2 -3
34.58 deg, intensity 21, hkl 1 5 1

```
data_HgC8N2Cl4
_chemical_formula_sum 'Hg4 C32 N8 Cl16'
_symmetry_space_group_name_H-M 'P 1 21/c 1'
_symmetry_Int_Tables_number 14
_cell_length_a 9.122
_cell_length_b 13.827
_cell_length_c 13.036
_cell_angle_alpha 90.00
_cell_angle_beta 90.26
_cell_angle_gamma 90.00
loop_
_symmetry_equiv_pos_as_xyz
'x,y,z'
'-x,-y,-z'
'-x,y+1/2,-z+1/2'
'x,-y+1/2,z+1/2'
loop_
_atom_site_label
_atom_site_type_symbol
_atom_site_fract_x
_atom_site_fract_y
_atom_site_fract_z
Hg1 Hg 0.207 0.114 0.307
C1 C 0.118 0.130 0.712
C2 C 0.233 0.742 0.584
C3 C 0.272 0.094 0.865
C4 C 0.272 0.683 0.024
C5 C 0.286 0.673 0.134
C6 C 0.299 0.602 0.853
C7 C 0.355 0.073 0.935
C8 C 0.459 0.042 0.006
N1 N 0.190 0.116 0.787
N2 N 0.288 0.642 0.933
Cl1 Cl 0.051 0.115 0.168
Cl2 Cl 0.169 0.630 0.595
Cl3 Cl 0.330 0.134 0.460
Cl4 Cl 0.492 0.113 0.113
```

***

No. 2
Structure and theoretical powder diffraction line list of Ba6LiNb2IrCl2O12 (a cell relaxed with GGA-PBE; λ = 1.5418 Å (Cu Kα)).
Kinematic intensities with the Lorentz-polarization factor, no thermal factor.

The 12 most intense peaks (5 to 70 degrees two-theta), by intensity:
5.68 deg, intensity 100, hkl 0 0 1
29.97 deg, intensity 56, hkl 1 1 0
28.72 deg, intensity 30, hkl 0 0 5
41.97 deg, intensity 30, hkl 1 1 5
24.32 deg, intensity 20, hkl 1 0 3
18.10 deg, intensity 19, hkl 0 1 1
38.96 deg, intensity 14, hkl 0 2 3
62.28 deg, intensity 11, hkl 2 2 0
53.21 deg, intensity 11, hkl 3 0 0
49.88 deg, intensity 11, hkl 2 0 6
52.45 deg, intensity 8, hkl 1 2 4
69.98 deg, intensity 7, hkl 2 2 5

```
data_Ba6LiNb2IrCl2O12
_chemical_formula_sum 'Ba6 Li1 Nb2 Ir1 Cl2 O12'
_symmetry_space_group_name_H-M 'P 3 m 1'
_symmetry_Int_Tables_number 156
_cell_length_a 5.9636
_cell_length_b 5.9636
_cell_length_c 15.5598
_cell_angle_alpha 90.00
_cell_angle_beta 90.00
_cell_angle_gamma 120.00
loop_
_symmetry_equiv_pos_as_xyz
'x,y,z'
'-y,x-y,z'
'-x+y,-x,z'
'-y,-x,z'
'-x+y,y,z'
'x,x-y,z'
loop_
_atom_site_label
_atom_site_type_symbol
_atom_site_fract_x
_atom_site_fract_y
_atom_site_fract_z
Ba1 Ba 0.0000 0.0000 0.0000
Ba2 Ba 0.0000 0.0000 0.2487
Ba3 Ba 0.0000 0.0000 0.5936
Ba4 Ba 0.3333 0.6667 0.1314
Ba5 Ba 0.3333 0.6667 0.4200
Ba6 Ba 0.3333 0.6667 0.8533
Li1 Li 0.0000 0.0000 0.4222
Nb1 Nb 0.6667 0.3333 0.0301
Nb2 Nb 0.6667 0.3333 0.3956
Ir1 Ir 0.6667 0.3333 0.2138
Cl1 Cl 0.0000 0.0000 0.7944
Cl2 Cl 0.3333 0.6667 0.6380
O1 O 0.3387 0.1693 0.4597
O2 O 0.3569 0.1784 0.1257
O3 O 0.5032 0.0064 0.9718
O4 O 0.5149 0.0299 0.3011
```

***

No. 3
Structure and theoretical powder diffraction line list of Tl5In3Se8 (a cell relaxed with GGA-PBE; λ = 1.5418 Å (Cu Kα)).
Kinematic intensities with the Lorentz-polarization factor, no thermal factor.

The 12 most intense peaks (5 to 70 degrees two-theta), by intensity:
33.48 deg, intensity 100, hkl 2 0 2
30.51 deg, intensity 53, hkl 2 2 0
21.45 deg, intensity 51, hkl 2 0 0
40.11 deg, intensity 28, hkl 2 2 2
27.22 deg, intensity 27, hkl 2 1 1
51.22 deg, intensity 26, hkl 4 0 2
49.17 deg, intensity 26, hkl 4 2 0
56.15 deg, intensity 24, hkl 4 2 2
61.67 deg, intensity 16, hkl 2 2 4
43.69 deg, intensity 10, hkl 4 0 0
34.22 deg, intensity 10, hkl 3 1 0
52.19 deg, intensity 10, hkl 0 0 4

```
data_Tl5In3Se8
_chemical_formula_sum 'Tl5 In3 Se8'
_symmetry_space_group_name_H-M 'P -4 2 m'
_symmetry_Int_Tables_number 111
_cell_length_a 8.287
_cell_length_b 8.287
_cell_length_c 7.011
_cell_angle_alpha 90.00
_cell_angle_beta 90.00
_cell_angle_gamma 90.00
loop_
_symmetry_equiv_pos_as_xyz
'x,y,z'
'y,-x,-z'
'-x,-y,z'
'-y,x,-z'
'x,-y,-z'
'y,x,z'
'-x,y,-z'
'-y,-x,z'
loop_
_atom_site_label
_atom_site_type_symbol
_atom_site_fract_x
_atom_site_fract_y
_atom_site_fract_z
Tl1 Tl 0.000 0.000 0.000
Tl2 Tl 0.000 0.500 0.000
Tl3 Tl 0.000 0.500 0.500
In1 In 0.000 0.000 0.500
In2 In 0.500 0.500 0.000
In3 In 0.500 0.500 0.500
Se1 Se 0.174 0.174 0.742
Se2 Se 0.330 0.330 0.250
```

***

No. 4
Structure and theoretical powder diffraction line list of NaTl (a cell relaxed with GGA-PBE; λ = 1.5418 Å (Cu Kα)).
Kinematic intensities with the Lorentz-polarization factor, no thermal factor.

The 12 most intense peaks (5 to 70 degrees two-theta), by intensity:
31.61 deg, intensity 100, hkl 4 2 1
14.55 deg, intensity 93, hkl 1 1 1
35.98 deg, intensity 60, hkl 3 3 2
31.06 deg, intensity 51, hkl 3 1 2
21.50 deg, intensity 47, hkl 2 2 1
36.86 deg, intensity 45, hkl 0 2 3
25.17 deg, intensity 37, hkl 0 4 0
35.77 deg, intensity 37, hkl 1 1 3
12.51 deg, intensity 34, hkl 0 2 0
30.77 deg, intensity 33, hkl 2 4 1
39.93 deg, intensity 32, hkl 0 6 1
29.78 deg, intensity 23, hkl 3 3 1

```
data_NaTl
_chemical_formula_sum 'Na24 Tl24'
_symmetry_space_group_name_H-M 'C m c e'
_symmetry_Int_Tables_number 64
_symmetry_space_group_name_Hall '-C 2ac 2'
_cell_length_a 13.452
_cell_length_b 14.155
_cell_length_c 7.793
_cell_angle_alpha 90.00
_cell_angle_beta 90.00
_cell_angle_gamma 90.00
loop_
_atom_site_label
_atom_site_type_symbol
_atom_site_fract_x
_atom_site_fract_y
_atom_site_fract_z
Na1 Na 0.000 0.209 0.060
Na2 Na 0.156 0.000 0.000
Na3 Na 0.250 0.183 0.750
Tl1 Tl 0.000 0.070 0.702
Tl2 Tl 0.141 0.114 0.371
```

***

No. 5
Structure and theoretical powder diffraction line list of Bi2B2O7 (a cell relaxed with GGA-PBE; λ = 1.5418 Å (Cu Kα)).
Kinematic intensities with the Lorentz-polarization factor, no thermal factor.

The 12 most intense peaks (5 to 70 degrees two-theta), by intensity:
25.64 deg, intensity 100, hkl 1 0 2
19.36 deg, intensity 95, hkl 1 1 0
24.03 deg, intensity 93, hkl 0 1 2
16.30 deg, intensity 93, hkl 0 1 1
31.03 deg, intensity 91, hkl 1 0 -2
28.50 deg, intensity 81, hkl 1 2 1
14.86 deg, intensity 77, hkl 0 1 0
27.71 deg, intensity 66, hkl 1 -1 1
33.09 deg, intensity 53, hkl 2 1 0
43.73 deg, intensity 52, hkl 1 1 4
33.37 deg, intensity 47, hkl 2 0 0
38.37 deg, intensity 44, hkl -1 2 1

```
data_Bi2B2O7
_chemical_formula_sum 'Bi4 B4 O14'
_symmetry_space_group_name_H-M 'P -1'
_symmetry_Int_Tables_number 2
_cell_length_a 5.758
_cell_length_b 6.483
_cell_length_c 8.315
_cell_angle_alpha 71.48
_cell_angle_beta 74.11
_cell_angle_gamma 71.96
loop_
_symmetry_equiv_pos_as_xyz
'x,y,z'
'-x,-y,-z'
loop_
_atom_site_label
_atom_site_type_symbol
_atom_site_fract_x
_atom_site_fract_y
_atom_site_fract_z
Bi1 Bi 0.182 0.271 0.138
Bi2 Bi 0.286 0.038 0.680
B1 B 0.238 0.761 0.097
B2 B 0.390 0.486 0.718
O1 O 0.066 0.658 0.069
O2 O 0.107 0.905 0.222
O3 O 0.226 0.704 0.696
O4 O 0.315 0.112 0.404
O5 O 0.347 0.361 0.628
O6 O 0.366 0.905 0.937
O7 O 0.449 0.578 0.170
```

***

No. 6
Structure and theoretical powder diffraction line list of Sc2MnSi (a cell relaxed with GGA-PBE; λ = 1.5418 Å (Cu Kα)).
Kinematic intensities with the Lorentz-polarization factor, no thermal factor.

The 8 most intense peaks (5 to 70 degrees two-theta), by intensity:
39.97 deg, intensity 100, hkl 2 2 0
57.81 deg, intensity 15, hkl 4 0 0
27.97 deg, intensity 3, hkl 2 0 0
24.16 deg, intensity 3, hkl 1 1 1
47.26 deg, intensity 2, hkl 3 1 1
65.43 deg, intensity 1, hkl 4 2 0
49.50 deg, intensity 1, hkl 2 2 2
63.57 deg, intensity 1, hkl 3 3 1

```
data_Sc2MnSi
_chemical_formula_sum 'Sc8 Mn4 Si4'
_symmetry_space_group_name_H-M 'F -4 3 m'
_symmetry_Int_Tables_number 216
_symmetry_space_group_name_Hall 'F -4 2 3'
_cell_length_a 6.379
_cell_length_b 6.379
_cell_length_c 6.379
_cell_angle_alpha 90.00
_cell_angle_beta 90.00
_cell_angle_gamma 90.00
loop_
_atom_site_label
_atom_site_type_symbol
_atom_site_fract_x
_atom_site_fract_y
_atom_site_fract_z
Sc1 Sc 0.000 0.000 0.000
Sc2 Sc 0.250 0.250 0.250
Mn1 Mn 0.250 0.250 0.750
Si1 Si 0.000 0.000 0.500
```

***

No. 7
Structure and theoretical powder diffraction line list of LiCu2C2O7 (a cell relaxed with GGA-PBE; λ = 1.5418 Å (Cu Kα)).
Kinematic intensities with the Lorentz-polarization factor, no thermal factor.

The 12 most intense peaks (5 to 70 degrees two-theta), by intensity:
23.33 deg, intensity 100, hkl 0 0 4
21.22 deg, intensity 61, hkl 1 0 0
22.00 deg, intensity 61, hkl 1 0 1
22.09 deg, intensity 59, hkl 1 1 1
37.19 deg, intensity 32, hkl 1 -1 0
21.31 deg, intensity 31, hkl 1 1 0
36.38 deg, intensity 30, hkl 1 0 5
31.71 deg, intensity 30, hkl 0 1 -4
36.51 deg, intensity 19, hkl 1 0 -5
43.75 deg, intensity 19, hkl 2 2 1
37.38 deg, intensity 16, hkl 2 1 0
58.63 deg, intensity 16, hkl 1 1 9

```
data_LiCu2C2O7
_chemical_formula_sum 'Li2 Cu4 C4 O14'
_symmetry_space_group_name_H-M 'P 1'
_symmetry_Int_Tables_number 1
_cell_length_a 4.812
_cell_length_b 4.831
_cell_length_c 15.253
_cell_angle_alpha 89.67
_cell_angle_beta 89.64
_cell_angle_gamma 60.26
loop_
_symmetry_equiv_pos_as_xyz
'x,y,z'
loop_
_atom_site_label
_atom_site_type_symbol
_atom_site_fract_x
_atom_site_fract_y
_atom_site_fract_z
Li1 Li 0.000 0.000 0.000
Li2 Li 0.002 0.992 0.500
Cu1 Cu 0.331 0.330 0.865
Cu2 Cu 0.332 0.333 0.635
Cu3 Cu 0.664 0.664 0.366
Cu4 Cu 0.671 0.656 0.136
C1 C 0.333 0.328 0.411
C2 C 0.334 0.326 0.089
C3 C 0.664 0.666 0.589
C4 C 0.665 0.665 0.911
O1 O 0.074 0.309 0.086
O2 O 0.078 0.605 0.413
O3 O 0.309 0.072 0.412
O4 O 0.316 0.602 0.091
O5 O 0.348 0.305 0.750
O6 O 0.386 0.685 0.586
O7 O 0.388 0.922 0.913
O8 O 0.610 0.068 0.088
O9 O 0.613 0.305 0.410
O10 O 0.677 0.675 0.251
O11 O 0.684 0.389 0.913
O12 O 0.685 0.923 0.587
O13 O 0.920 0.389 0.591
O14 O 0.923 0.687 0.908
```

***

No. 8
Structure and theoretical powder diffraction line list of NaSn2As2 (a cell relaxed with GGA-PBE; λ = 1.5418 Å (Cu Kα)).
Kinematic intensities with the Lorentz-polarization factor, no thermal factor.

The 12 most intense peaks (5 to 70 degrees two-theta), by intensity:
29.90 deg, intensity 100, hkl 0 1 5
44.49 deg, intensity 37, hkl 1 1 0
9.44 deg, intensity 33, hkl 0 0 3
41.05 deg, intensity 32, hkl 1 0 10
54.53 deg, intensity 19, hkl 2 0 5
26.04 deg, intensity 14, hkl 0 1 2
18.94 deg, intensity 13, hkl 0 0 6
43.74 deg, intensity 12, hkl 0 1 11
62.13 deg, intensity 10, hkl 0 2 10
67.97 deg, intensity 9, hkl 1 1 15
58.70 deg, intensity 8, hkl 1 0 16
33.82 deg, intensity 7, hkl 1 0 7

```
data_NaSn2As2
_chemical_formula_sum 'Na3 Sn6 As6'
_symmetry_space_group_name_H-M 'R -3 m'
_symmetry_Int_Tables_number 166
_symmetry_space_group_name_Hall '-R 3 2"'
_cell_length_a 4.0732
_cell_length_b 4.0732
_cell_length_c 28.1167
_cell_angle_alpha 90.00
_cell_angle_beta 90.00
_cell_angle_gamma 120.00
loop_
_atom_site_label
_atom_site_type_symbol
_atom_site_fract_x
_atom_site_fract_y
_atom_site_fract_z
Na1 Na 0.0000 0.0000 0.0000
Sn1 Sn 0.0000 0.0000 0.2109
As1 As 0.0000 0.0000 0.4071
```

***

No. 9
Structure and theoretical powder diffraction line list of PrZn2AsO2 (a cell relaxed with GGA-PBE; λ = 1.5418 Å (Cu Kα)).
Kinematic intensities with the Lorentz-polarization factor, no thermal factor.

The 12 most intense peaks (5 to 70 degrees two-theta), by intensity:
24.74 deg, intensity 100, hkl 1 0 0
35.27 deg, intensity 39, hkl 1 1 0
50.71 deg, intensity 37, hkl 2 0 0
57.22 deg, intensity 34, hkl 2 1 0
38.18 deg, intensity 19, hkl 1 0 4
28.62 deg, intensity 17, hkl 0 0 4
32.91 deg, intensity 17, hkl 1 0 3
21.36 deg, intensity 12, hkl 0 0 3
14.19 deg, intensity 12, hkl 0 0 2
43.51 deg, intensity 9, hkl 0 0 6
41.60 deg, intensity 9, hkl 1 1 3
46.03 deg, intensity 9, hkl 1 1 4

```
data_PrZn2AsO2
_chemical_formula_sum 'Pr1 Zn2 As1 O2'
_symmetry_space_group_name_H-M 'P 4/m m m'
_symmetry_Int_Tables_number 123
_symmetry_space_group_name_Hall '-P 4 2'
_cell_length_a 3.599
_cell_length_b 3.599
_cell_length_c 12.481
_cell_angle_alpha 90.00
_cell_angle_beta 90.00
_cell_angle_gamma 90.00
loop_
_atom_site_label
_atom_site_type_symbol
_atom_site_fract_x
_atom_site_fract_y
_atom_site_fract_z
Pr1 Pr 0.000 0.000 0.000
Zn1 Zn 0.000 0.000 0.317
As1 As 0.000 0.000 0.500
O1 O 0.000 0.000 0.176
```

***

No. 10
Structure and theoretical powder diffraction line list of Ba2AuO4 (a cell relaxed with GGA-PBE; λ = 1.5418 Å (Cu Kα)).
Kinematic intensities with the Lorentz-polarization factor, no thermal factor.

The 12 most intense peaks (5 to 70 degrees two-theta), by intensity:
28.08 deg, intensity 100, hkl 1 2 1
32.00 deg, intensity 50, hkl 1 0 3
25.79 deg, intensity 35, hkl 1 1 2
44.17 deg, intensity 32, hkl 2 3 1
53.02 deg, intensity 29, hkl 2 2 4
30.78 deg, intensity 27, hkl 2 0 2
46.89 deg, intensity 24, hkl 3 0 3
47.94 deg, intensity 24, hkl 4 0 0
23.44 deg, intensity 23, hkl 2 0 0
42.66 deg, intensity 20, hkl 1 3 2
69.31 deg, intensity 20, hkl 5 0 3
58.80 deg, intensity 17, hkl 4 1 3

```
data_Ba2AuO4
_chemical_formula_sum 'Ba8 Au4 O16'
_symmetry_space_group_name_H-M 'I 41/a'
_symmetry_Int_Tables_number 88
_cell_length_a 7.591
_cell_length_b 7.591
_cell_length_c 9.027
_cell_angle_alpha 90.00
_cell_angle_beta 90.00
_cell_angle_gamma 90.00
loop_
_symmetry_equiv_pos_as_xyz
'x,y,z'
'-x,-y,-z'
'-y+3/4,x+1/4,z+1/4'
'y+3/4,-x+1/4,-z+1/4'
'-x+1/2,-y,z+1/2'
'x+1/2,y,-z+1/2'
'y+3/4,-x+3/4,z+3/4'
'-y+3/4,x+3/4,-z+3/4'
'x+1/2,y+1/2,z+1/2'
'-x+1/2,-y+1/2,-z+1/2'
'-y+1/4,x+3/4,z+3/4'
'y+1/4,-x+3/4,-z+3/4'
'-x,-y+1/2,z'
'x,y+1/2,-z'
'y+1/4,-x+1/4,z+1/4'
'-y+1/4,x+1/4,-z+1/4'
loop_
_atom_site_label
_atom_site_type_symbol
_atom_site_fract_x
_atom_site_fract_y
_atom_site_fract_z
Ba1 Ba 0.000 0.000 0.000
Au1 Au 0.000 0.250 0.625
O1 O 0.001 0.011 0.307
```

***

No. 11
Structure and theoretical powder diffraction line list of Cs3TmCl6 (a cell relaxed with GGA-PBE; λ = 1.5418 Å (Cu Kα)).
Kinematic intensities with the Lorentz-polarization factor, no thermal factor.

The 12 most intense peaks (5 to 70 degrees two-theta), by intensity:
21.34 deg, intensity 100, hkl 2 2 0
30.35 deg, intensity 50, hkl 4 0 0
37.40 deg, intensity 45, hkl 4 2 2
43.46 deg, intensity 34, hkl 4 4 0
58.65 deg, intensity 28, hkl 6 4 2
48.90 deg, intensity 25, hkl 6 2 0
67.47 deg, intensity 12, hkl 6 6 0
53.93 deg, intensity 11, hkl 4 4 4
15.04 deg, intensity 7, hkl 2 0 0
13.02 deg, intensity 5, hkl 1 1 1
63.15 deg, intensity 5, hkl 8 0 0
26.21 deg, intensity 5, hkl 2 2 2

```
data_Cs3TmCl6
_chemical_formula_sum 'Cs12 Tm4 Cl24'
_symmetry_space_group_name_H-M 'F m -3 m'
_symmetry_Int_Tables_number 225
_symmetry_space_group_name_Hall '-F 4 2 3'
_cell_length_a 11.779
_cell_length_b 11.779
_cell_length_c 11.779
_cell_angle_alpha 90.00
_cell_angle_beta 90.00
_cell_angle_gamma 90.00
loop_
_atom_site_label
_atom_site_type_symbol
_atom_site_fract_x
_atom_site_fract_y
_atom_site_fract_z
Cs1 Cs 0.000 0.000 0.000
Cs2 Cs 0.250 0.250 0.250
Tm1 Tm 0.000 0.000 0.500
Cl1 Cl 0.000 0.000 0.279
```